Structure and theoretical powder XRD pattern of Mn4OF8 (a DFT-relaxed cell (GGA+U, Alexandria); Cu Kα, 1.54184 Å).
Neutral-atom scattering factors, no anomalous dispersion.

Structural model:
abc: 5.634 5.634 14.560
angles: 93.85 93.85 54.99
Element x y z (fractional)
Mn 0.010 0.990 0.500
Mn 0.027 0.997 0.802
Mn 0.248 0.405 0.382
Mn 0.303 0.350 0.146
Mn 0.350 0.303 0.646
Mn 0.405 0.248 0.882
Mn 0.990 0.010 0.000
Mn 0.997 0.027 0.302
O 0.241 0.782 0.397
O 0.782 0.241 0.897
F 0.011 0.304 0.066
F 0.028 0.683 0.251
F 0.068 0.678 0.914
F 0.125 0.279 0.759
F 0.130 0.574 0.531
F 0.207 0.743 0.094
F 0.279 0.125 0.259
F 0.281 0.667 0.725
F 0.304 0.011 0.566
F 0.339 0.923 0.896
F 0.574 0.130 0.031
F 0.667 0.281 0.225
F 0.678 0.068 0.414
F 0.683 0.028 0.751
F 0.743 0.207 0.594
F 0.923 0.339 0.396

Peak list (10 most intense, 15 to 90 degrees two-theta, most intense first)
2theta	I/Imax
19.25	100
31.95	55
30.81	44
17.80	42
47.45	17
29.32	17
36.03	15
51.60	13
39.34	12
45.88	12